(1)
Diffraction record for KSmW2O8. The powder XRD pattern is computed, not measured: it uses a PBE+U-relaxed structure and copper Kα.

Main lines, by angle (2θ = 10–90°):
| (hkl) | d/Å | I/Imax |
| --- | --- | --- |
| 1 1 0 | 6.630 | 21.6 |
| 1 1 -1 | 6.137 | 55.4 |
| 2 0 -1 | 5.107 | 26.5 |
| 2 2 -1 | 3.722 | 23.2 |
| 2 2 0 | 3.315 | 66.3 |
| 1 3 -1 | 3.256 | 37.9 |
| 3 1 -1 | 3.234 | 29.6 |
| 0 0 2 | 3.070 | 100.0 |
| 1 3 1 | 2.677 | 32.2 |
| 1 3 3 | 1.588 | 20.4 |

Cell and atoms:
```
data_KSmW2O8
_chemical_formula_sum 'K4 Sm4 W8 O32'
_cell_length_a 10.2892
_cell_length_b 10.8689
_cell_length_c 7.5600
_cell_angle_alpha 90.00
_cell_angle_beta 125.58
_cell_angle_gamma 90.00
_symmetry_space_group_name_H-M 'C 1 2/m 1'
_symmetry_Int_Tables_number 12
loop_
_symmetry_equiv_pos_as_xyz
'x,y,z'
'-x,-y,-z'
'-x,y,-z'
'x,-y,z'
'x+1/2,y+1/2,z'
'-x+1/2,-y+1/2,-z'
'-x+1/2,y+1/2,-z'
'x+1/2,-y+1/2,z'
loop_
_atom_site_label
_atom_site_type_symbol
_atom_site_fract_x
_atom_site_fract_y
_atom_site_fract_z
K1 K 0.1886 0.0000 0.0265
Sm1 Sm 0.0000 0.1994 0.5000
W1 W 0.0000 0.3379 0.0000
W2 W 0.2053 0.5000 0.4450
O1 O 0.0168 0.5000 0.8443
O2 O 0.0458 0.2375 0.8505
O3 O 0.0710 0.0000 0.3888
O4 O 0.1662 0.3716 0.5640
O5 O 0.2224 0.3732 0.2410
```

---

(2)
Diffraction record for KSmW2O8. The powder XRD pattern is computed, not measured: it uses a PBE+U-relaxed structure and copper Kα.

Main lines, by angle (2θ = 10–90°):
| (hkl) | d/Å | I/Imax |
| --- | --- | --- |
| 1 1 0 | 5.064 | 17.3 |
| 1 3 0 | 4.018 | 36.2 |
| 1 1 2 | 3.202 | 100.0 |
| 0 4 2 | 3.095 | 40.8 |
| 1 5 0 | 3.045 | 57.3 |
| 2 0 0 | 2.631 | 15.0 |
| 2 4 2 | 2.004 | 34.7 |
| 2 6 2 | 1.807 | 17.4 |
| 1 9 2 | 1.748 | 22.3 |
| 1 5 4 | 1.710 | 19.8 |

Cell and atoms:
```
data_KSmW2O8
_chemical_formula_sum 'K4 Sm4 W8 O32'
_cell_length_a 5.2617
_cell_length_b 18.6719
_cell_length_c 8.2666
_cell_angle_alpha 90.00
_cell_angle_beta 90.00
_cell_angle_gamma 90.00
_symmetry_space_group_name_H-M 'P b c n'
_symmetry_Int_Tables_number 60
loop_
_symmetry_equiv_pos_as_xyz
'x,y,z'
'-x,-y,-z'
'-x+1/2,-y+1/2,z+1/2'
'x+1/2,y+1/2,-z+1/2'
'x+1/2,-y+1/2,-z'
'-x+1/2,y+1/2,z'
'-x,y,-z+1/2'
'x,-y,z+1/2'
loop_
_atom_site_label
_atom_site_type_symbol
_atom_site_fract_x
_atom_site_fract_y
_atom_site_fract_z
K1 K 0.0000 0.2300 0.2500
Sm1 Sm 0.0000 0.0067 0.7500
W1 W 0.0225 0.3993 0.5171
O1 O 0.1014 0.3110 0.9757
O2 O 0.2272 0.4010 0.3399
O3 O 0.2418 0.4073 0.6899
O4 O 0.2465 0.4653 0.0040
```

---

(3)
Diffraction record for KTbSnWO6. The powder XRD pattern is computed, not measured: it uses a PBE+U-relaxed structure and copper Kα.

Main lines, by angle (2θ = 10–90°):
| (hkl) | d/Å | I/Imax |
| --- | --- | --- |
| 1 1 0 | 4.203 | 24.5 |
| 2 0 0 | 2.972 | 100.0 |
| 2 2 0 | 2.104 | 20.1 |
| 0 0 4 | 2.097 | 10.0 |
| 3 1 0 | 1.881 | 6.9 |
| 3 1 2 | 1.716 | 40.8 |
| 2 2 4 | 1.485 | 12.5 |
| 4 2 0 | 1.330 | 12.3 |
| 4 2 4 | 1.124 | 14.9 |
| 3 1 6 | 1.122 | 7.4 |

Cell and atoms:
```
data_KTbSnWO6
_chemical_formula_sum 'K2 Tb2 Sn2 W2 O12'
_cell_length_a 5.9503
_cell_length_b 5.9503
_cell_length_c 8.3896
_cell_angle_alpha 90.00
_cell_angle_beta 90.00
_cell_angle_gamma 90.00
_symmetry_space_group_name_H-M 'P 42/m m c'
_symmetry_Int_Tables_number 131
_symmetry_space_group_name_Hall '-P 4c 2'
loop_
_atom_site_label
_atom_site_type_symbol
_atom_site_fract_x
_atom_site_fract_y
_atom_site_fract_z
K1 K 0.0000 0.0000 0.2500
Tb1 Tb 0.0000 0.5000 0.0000
Sn1 Sn 0.5000 0.5000 0.2500
W1 W 0.0000 0.5000 0.5000
O1 O 0.0000 0.5000 0.2681
O2 O 0.2391 0.2744 0.5000
```

---

(4)
Diffraction record for KTbSnWO6. The powder XRD pattern is computed, not measured: it uses a PBE+U-relaxed structure and copper Kα.

Main lines, by angle (2θ = 10–90°):
| (hkl) | d/Å | I/Imax |
| --- | --- | --- |
| 1 1 1 | 4.851 | 7.4 |
| 2 0 0 | 4.201 | 24.5 |
| 2 2 0 | 2.971 | 100.0 |
| 4 0 0 | 2.101 | 30.1 |
| 4 2 0 | 1.879 | 10.4 |
| 4 2 2 | 1.715 | 40.8 |
| 4 4 0 | 1.485 | 18.8 |
| 6 2 0 | 1.329 | 18.4 |
| 4 4 4 | 1.213 | 6.2 |
| 6 4 2 | 1.123 | 22.3 |

Cell and atoms:
```
data_KTbSnWO6
_chemical_formula_sum 'K4 Tb4 Sn4 W4 O24'
_cell_length_a 8.4027
_cell_length_b 8.4027
_cell_length_c 8.4027
_cell_angle_alpha 90.00
_cell_angle_beta 90.00
_cell_angle_gamma 90.00
_symmetry_space_group_name_H-M 'F -4 3 m'
_symmetry_Int_Tables_number 216
_symmetry_space_group_name_Hall 'F -4 2 3'
loop_
_atom_site_label
_atom_site_type_symbol
_atom_site_fract_x
_atom_site_fract_y
_atom_site_fract_z
K1 K 0.0000 0.0000 0.0000
Tb1 Tb 0.2500 0.2500 0.2500
Sn1 Sn 0.0000 0.0000 0.5000
W1 W 0.2500 0.2500 0.7500
O1 O 0.0178 0.2500 0.7500
```

---

(5)
Diffraction record for KSrTbWO6. The powder XRD pattern is computed, not measured: it uses a PBE+U-relaxed structure and copper Kα.

Main lines, by angle (2θ = 10–90°):
| (hkl) | d/Å | I/Imax |
| --- | --- | --- |
| 2 0 0 | 4.203 | 37.5 |
| 2 2 0 | 2.972 | 100.0 |
| 4 0 0 | 2.101 | 30.8 |
| 4 2 0 | 1.880 | 16.5 |
| 4 2 2 | 1.716 | 40.2 |
| 4 4 0 | 1.486 | 19.0 |
| 6 0 0 | 1.401 | 7.8 |
| 6 2 0 | 1.329 | 18.0 |
| 4 4 4 | 1.213 | 6.2 |
| 6 4 2 | 1.123 | 21.6 |

Cell and atoms:
```
data_KSrTbWO6
_chemical_formula_sum 'K4 Sr4 Tb4 W4 O24'
_cell_length_a 8.4059
_cell_length_b 8.4059
_cell_length_c 8.4059
_cell_angle_alpha 90.00
_cell_angle_beta 90.00
_cell_angle_gamma 90.00
_symmetry_space_group_name_H-M 'F -4 3 m'
_symmetry_Int_Tables_number 216
_symmetry_space_group_name_Hall 'F -4 2 3'
loop_
_atom_site_label
_atom_site_type_symbol
_atom_site_fract_x
_atom_site_fract_y
_atom_site_fract_z
K1 K 0.0000 0.0000 0.0000
Sr1 Sr 0.0000 0.0000 0.5000
Tb1 Tb 0.2500 0.2500 0.2500
W1 W 0.2500 0.2500 0.7500
O1 O 0.0177 0.2500 0.7500
```

---

(6)
Diffraction record for K2SrV3O9. The powder XRD pattern is computed, not measured: it uses a PBE+U-relaxed structure and copper Kα.

Main lines, by angle (2θ = 10–90°):
| (hkl) | d/Å | I/Imax |
| --- | --- | --- |
| 1 0 1 | 8.799 | 35.5 |
| 3 0 2 | 3.201 | 10.1 |
| 2 1 3 | 3.111 | 100.0 |
| 3 1 2 | 2.768 | 13.5 |
| 0 2 0 | 2.753 | 34.1 |
| 1 1 5 | 2.717 | 14.9 |
| 1 0 7 | 2.283 | 10.5 |
| 1 2 5 | 2.066 | 11.5 |
| 0 2 6 | 1.938 | 14.9 |
| 2 3 3 | 1.650 | 14.6 |

Cell and atoms:
```
data_K2SrV3O9
_chemical_formula_sum 'K8 Sr4 V12 O36'
_cell_length_a 10.4343
_cell_length_b 5.5070
_cell_length_c 16.3707
_cell_angle_alpha 90.00
_cell_angle_beta 90.00
_cell_angle_gamma 90.00
_symmetry_space_group_name_H-M 'P n m a'
_symmetry_Int_Tables_number 62
loop_
_symmetry_equiv_pos_as_xyz
'x,y,z'
'-x,-y,-z'
'-x+1/2,-y,z+1/2'
'x+1/2,y,-z+1/2'
'x+1/2,-y+1/2,-z+1/2'
'-x+1/2,y+1/2,z+1/2'
'-x,y+1/2,-z'
'x,-y+1/2,z'
loop_
_atom_site_label
_atom_site_type_symbol
_atom_site_fract_x
_atom_site_fract_y
_atom_site_fract_z
K1 K 0.0286 0.2500 0.0682
K2 K 0.0287 0.7500 0.2114
Sr1 Sr 0.0334 0.7500 0.6156
V1 V 0.1902 0.2500 0.5430
V2 V 0.2088 0.7500 0.4059
V3 V 0.2488 0.7500 0.7725
O1 O 0.0855 0.7500 0.7816
O2 O 0.0969 0.2500 0.6299
O3 O 0.1334 0.2500 0.9180
O4 O 0.1407 0.5104 0.4857
O5 O 0.1500 0.7500 0.0600
O6 O 0.1732 0.5022 0.3208
O7 O 0.2260 0.2500 0.1698
```

---

(7)
Diffraction record for K2SrV4O12. The powder XRD pattern is computed, not measured: it uses a PBE+U-relaxed structure and copper Kα.

Main lines, by angle (2θ = 10–90°):
| (hkl) | d/Å | I/Imax |
| --- | --- | --- |
| 1 1 0 | 7.849 | 11.0 |
| 1 1 1 | 4.473 | 40.5 |
| 3 1 0 | 3.510 | 12.9 |
| 2 2 1 | 3.183 | 100.0 |
| 4 0 0 | 2.775 | 25.9 |
| 3 1 2 | 2.151 | 14.0 |
| 4 4 0 | 1.962 | 13.2 |
| 4 0 2 | 1.943 | 14.0 |
| 6 2 1 | 1.670 | 18.5 |
| 2 2 3 | 1.647 | 11.0 |

Cell and atoms:
```
data_K2SrV4O12
_chemical_formula_sum 'K4 Sr2 V8 O24'
_cell_length_a 11.0996
_cell_length_b 11.0996
_cell_length_c 5.4432
_cell_angle_alpha 90.00
_cell_angle_beta 90.00
_cell_angle_gamma 90.00
_symmetry_space_group_name_H-M 'P 4/n b m'
_symmetry_Int_Tables_number 125
loop_
_symmetry_equiv_pos_as_xyz
'x,y,z'
'-x,-y,-z'
'-y+1/2,x,z'
'y+1/2,-x,-z'
'-x+1/2,-y+1/2,z'
'x+1/2,y+1/2,-z'
'y,-x+1/2,z'
'-y,x+1/2,-z'
'x,-y+1/2,-z'
'-x,y+1/2,z'
'-y+1/2,-x+1/2,-z'
'y+1/2,x+1/2,z'
'-x+1/2,y,-z'
'x+1/2,-y,z'
'y,x,-z'
'-y,-x,z'
loop_
_atom_site_label
_atom_site_type_symbol
_atom_site_fract_x
_atom_site_fract_y
_atom_site_fract_z
K1 K 0.0000 0.0000 0.0000
Sr1 Sr 0.2500 0.2500 0.0000
V1 V 0.0301 0.7500 0.5000
O1 O 0.0552 0.2053 0.2621
O2 O 0.1256 0.6256 0.6024
```

---

(8)
Diffraction record for KSrVO4. The powder XRD pattern is computed, not measured: it uses a PBE+U-relaxed structure and copper Kα.

Main lines, by angle (2θ = 10–90°):
| (hkl) | d/Å | I/Imax |
| --- | --- | --- |
| 1 0 1 | 5.114 | 22.2 |
| 1 1 2 | 3.427 | 26.4 |
| 1 2 1 | 3.039 | 100.0 |
| 0 2 2 | 3.025 | 29.9 |
| 2 0 0 | 2.966 | 61.1 |
| 1 0 3 | 2.927 | 78.3 |
| 1 1 4 | 2.220 | 32.3 |
| 2 1 3 | 2.135 | 19.1 |
| 2 2 2 | 2.118 | 41.4 |
| 3 0 3 | 1.706 | 27.7 |

Cell and atoms:
```
data_KSrVO4
_chemical_formula_sum 'K4 Sr4 V4 O16'
_cell_length_a 5.9315
_cell_length_b 7.5557
_cell_length_c 10.0980
_cell_angle_alpha 90.00
_cell_angle_beta 90.00
_cell_angle_gamma 90.00
_symmetry_space_group_name_H-M 'P 21 21 21'
_symmetry_Int_Tables_number 19
loop_
_symmetry_equiv_pos_as_xyz
'x,y,z'
'-x+1/2,-y,z+1/2'
'x+1/2,-y+1/2,-z'
'-x,y+1/2,-z+1/2'
loop_
_atom_site_label
_atom_site_type_symbol
_atom_site_fract_x
_atom_site_fract_y
_atom_site_fract_z
K1 K 0.0155 0.0909 0.4228
Sr1 Sr 0.0192 0.2501 0.8008
V1 V 0.0147 0.5253 0.4163
O1 O 0.0062 0.4299 0.5742
O2 O 0.0646 0.7488 0.4379
O3 O 0.2377 0.9833 0.1688
O4 O 0.2448 0.4445 0.3274
```

---

Number 1 is which compound? KSmW2O8

---

What did the fifth record say?
Diffraction record for KSrTbWO6. The powder XRD pattern is computed, not measured: it uses a PBE+U-relaxed structure and copper Kα.

Main lines, by angle (2θ = 10–90°):
| (hkl) | d/Å | I/Imax |
| --- | --- | --- |
| 2 0 0 | 4.203 | 37.5 |
| 2 2 0 | 2.972 | 100.0 |
| 4 0 0 | 2.101 | 30.8 |
| 4 2 0 | 1.880 | 16.5 |
| 4 2 2 | 1.716 | 40.2 |
| 4 4 0 | 1.486 | 19.0 |
| 6 0 0 | 1.401 | 7.8 |
| 6 2 0 | 1.329 | 18.0 |
| 4 4 4 | 1.213 | 6.2 |
| 6 4 2 | 1.123 | 21.6 |

Cell and atoms:
```
data_KSrTbWO6
_chemical_formula_sum 'K4 Sr4 Tb4 W4 O24'
_cell_length_a 8.4059
_cell_length_b 8.4059
_cell_length_c 8.4059
_cell_angle_alpha 90.00
_cell_angle_beta 90.00
_cell_angle_gamma 90.00
_symmetry_space_group_name_H-M 'F -4 3 m'
_symmetry_Int_Tables_number 216
_symmetry_space_group_name_Hall 'F -4 2 3'
loop_
_atom_site_label
_atom_site_type_symbol
_atom_site_fract_x
_atom_site_fract_y
_atom_site_fract_z
K1 K 0.0000 0.0000 0.0000
Sr1 Sr 0.0000 0.0000 0.5000
Tb1 Tb 0.2500 0.2500 0.2500
W1 W 0.2500 0.2500 0.7500
O1 O 0.0177 0.2500 0.7500
```

---

Number 1 is which compound? KSmW2O8